For Li2PPd5, a cell relaxed with GGA-PBE gives the theoretical powder diffractogram in this record (Cu Ka).
Intensities are scaled so that the largest is 100.

Structural model:
Unit cell a=5.337 b=10.176 c=4.055 alpha=90.00 beta=90.00 gamma=90.00
Fractional coordinates of all 16 atoms:
Li (0.153, 0.142, 0.000)
Li (0.347, 0.642, 0.000)
Li (0.653, 0.358, 0.000)
Li (0.847, 0.858, 0.000)
P (0.000, 0.500, 0.500)
P (0.500, 0.000, 0.500)
Pd (0.000, 0.000, 0.500)
Pd (0.102, 0.727, 0.500)
Pd (0.177, 0.398, 0.000)
Pd (0.323, 0.898, 0.000)
Pd (0.398, 0.227, 0.500)
Pd (0.500, 0.500, 0.500)
Pd (0.602, 0.773, 0.500)
Pd (0.677, 0.102, 0.000)
Pd (0.823, 0.602, 0.000)
Pd (0.898, 0.273, 0.500)

Main lines, in order of rising 2θ (5 to 70 degrees two-theta):
2θ = 24.17°, I = 33; 2θ = 29.01°, I = 33; 2θ = 31.24°, I = 27; 2θ = 32.85°, I = 70; 2θ = 40.46°, I = 47; 2θ = 41.47°, I = 79; 2θ = 41.92°, I = 100; 2θ = 43.13°, I = 44; 2θ = 44.69°, I = 53; 2θ = 63.85°, I = 28



For LaNdDy14, a cell relaxed with GGA-PBE gives the theoretical powder diffractogram in this record (Cu Ka).
Intensities are scaled so that the largest is 100.

Structural model:
Unit cell a=11.537 b=7.154 c=7.154 alpha=60.15 beta=90.00 gamma=90.00
Fractional coordinates of all 16 atoms:
La (0.000, 0.000, 0.000)
Nd (0.000, 0.501, 0.501)
Dy (0.000, 0.001, 0.500)
Dy (0.000, 0.500, 0.001)
Dy (0.251, 0.668, 0.668)
Dy (0.253, 0.168, 0.168)
Dy (0.254, 0.167, 0.667)
Dy (0.254, 0.667, 0.167)
Dy (0.500, 0.334, 0.334)
Dy (0.500, 0.335, 0.834)
Dy (0.500, 0.833, 0.833)
Dy (0.500, 0.834, 0.335)
Dy (0.746, 0.167, 0.667)
Dy (0.746, 0.667, 0.167)
Dy (0.747, 0.168, 0.168)
Dy (0.749, 0.668, 0.668)

Main lines, in order of rising 2θ (5 to 70 degrees two-theta):
2θ = 29.84°, I = 41; 2θ = 31.01°, I = 34; 2θ = 32.80°, I = 100; 2θ = 37.26°, I = 23; 2θ = 49.23°, I = 10; 2θ = 51.07°, I = 17; 2θ = 56.30°, I = 21; 2θ = 60.85°, I = 10; 2θ = 60.96°, I = 20; 2θ = 61.95°, I = 11



For Mg6HIr3, a cell relaxed with GGA-PBE gives the theoretical powder diffractogram in this record (Cu Ka).
Intensities are scaled so that the largest is 100.

Structural model:
Unit cell a=5.379 b=5.379 c=7.265 alpha=110.19 beta=110.19 gamma=70.35
Fractional coordinates of all 10 atoms:
Mg (0.070, 0.070, 0.348)
Mg (0.140, 0.329, 0.033)
Mg (0.419, 0.388, 0.710)
Mg (0.612, 0.581, 0.290)
Mg (0.671, 0.860, 0.967)
Mg (0.930, 0.930, 0.652)
H (0.565, 0.435, 0.500)
Ir (0.212, 0.788, 0.000)
Ir (0.542, 0.113, 0.327)
Ir (0.887, 0.458, 0.673)

Main lines, in order of rising 2θ (5 to 70 degrees two-theta):
2θ = 19.60°, I = 100; 2θ = 26.87°, I = 14; 2θ = 28.81°, I = 12; 2θ = 36.63°, I = 23; 2θ = 36.80°, I = 23; 2θ = 39.80°, I = 25; 2θ = 41.12°, I = 12; 2θ = 42.63°, I = 21; 2θ = 43.44°, I = 16; 2θ = 46.01°, I = 13



For Cs2Ho2PuS6, a cell relaxed with GGA-PBE gives the theoretical powder diffractogram in this record (Cu Ka).
Intensities are scaled so that the largest is 100.

Structural model:
Unit cell a=6.962 b=6.962 c=8.587 alpha=97.97 beta=97.97 gamma=119.96
Fractional coordinates of all 11 atoms:
Cs (0.169, 0.831, 0.000)
Cs (0.831, 0.169, 0.000)
Ho (0.333, 0.667, 0.500)
Ho (0.667, 0.333, 0.500)
Pu (0.000, 0.000, 0.500)
S (0.059, 0.388, 0.676)
S (0.267, 0.267, 0.324)
S (0.388, 0.059, 0.676)
S (0.612, 0.941, 0.324)
S (0.733, 0.733, 0.676)
S (0.941, 0.612, 0.324)

Main lines, in order of rising 2θ (5 to 70 degrees two-theta):
2θ = 10.72°, I = 82; 2θ = 15.14°, I = 20; 2θ = 21.54°, I = 53; 2θ = 26.60°, I = 77; 2θ = 29.34°, I = 54; 2θ = 29.48°, I = 100; 2θ = 38.88°, I = 38; 2θ = 39.08°, I = 21; 2θ = 45.06°, I = 54; 2θ = 54.74°, I = 17



For Cd3Ga2Ag, a cell relaxed with GGA-PBE gives the theoretical powder diffractogram in this record (Cu Ka).
Intensities are scaled so that the largest is 100.

Structural model:
Unit cell a=4.456 b=12.924 c=4.256 alpha=90.00 beta=90.00 gamma=90.00
Fractional coordinates of all 12 atoms:
Cd (0.250, 0.084, 0.003)
Cd (0.250, 0.416, 0.003)
Cd (0.250, 0.750, 0.996)
Cd (0.750, 0.250, 0.004)
Cd (0.750, 0.584, 0.997)
Cd (0.750, 0.916, 0.997)
Ga (0.250, 0.584, 0.498)
Ga (0.250, 0.916, 0.498)
Ga (0.750, 0.084, 0.502)
Ga (0.750, 0.416, 0.502)
Ag (0.250, 0.250, 0.505)
Ag (0.750, 0.750, 0.495)

Main lines, in order of rising 2θ (5 to 70 degrees two-theta):
2θ = 13.70°, I = 1; 2θ = 20.87°, I = 2; 2θ = 28.83°, I = 2; 2θ = 35.86°, I = 100; 2θ = 40.49°, I = 18; 2θ = 41.94°, I = 16; 2θ = 42.48°, I = 15; 2θ = 59.71°, I = 11; 2θ = 60.13°, I = 10; 2θ = 61.23°, I = 10



For Pm2HoPuBi4, a cell relaxed with GGA-PBE gives the theoretical powder diffractogram in this record (Cu Ka).
Intensities are scaled so that the largest is 100.

Structural model:
Unit cell a=7.861 b=4.545 c=7.862 alpha=90.00 beta=109.42 gamma=90.00
Fractional coordinates of all 8 atoms:
Pm (0.000, 0.000, 0.000)
Pm (0.000, 0.500, 0.500)
Ho (0.500, 0.000, 0.500)
Pu (0.500, 0.500, 0.000)
Bi (0.255, 0.000, 0.750)
Bi (0.257, 0.500, 0.254)
Bi (0.743, 0.500, 0.746)
Bi (0.745, 0.000, 0.250)

Main lines, in order of rising 2θ (5 to 70 degrees two-theta):
2θ = 11.94°, I = 2; 2θ = 22.96°, I = 1; 2θ = 24.00°, I = 1; 2θ = 27.78°, I = 100; 2θ = 36.35°, I = 1; 2θ = 39.70°, I = 79; 2θ = 46.92°, I = 1; 2θ = 49.14°, I = 29; 2θ = 57.39°, I = 14; 2θ = 64.94°, I = 38



For Ac2NdThSe4, a cell relaxed with GGA-PBE gives the theoretical powder diffractogram in this record (Cu Ka).
Intensities are scaled so that the largest is 100.

Structural model:
Unit cell a=7.496 b=4.310 c=7.560 alpha=90.00 beta=109.17 gamma=90.00
Fractional coordinates of all 8 atoms:
Ac (0.000, 0.000, 0.000)
Ac (0.500, 0.500, 0.000)
Nd (0.000, 0.500, 0.500)
Th (0.500, 0.000, 0.500)
Se (0.245, 0.000, 0.734)
Se (0.255, 0.500, 0.266)
Se (0.745, 0.500, 0.734)
Se (0.755, 0.000, 0.266)

Main lines, in order of rising 2θ (5 to 70 degrees two-theta):
2θ = 25.22°, I = 26; 2θ = 29.12°, I = 100; 2θ = 41.40°, I = 13; 2θ = 41.51°, I = 25; 2θ = 41.79°, I = 25; 2θ = 41.93°, I = 13; 2θ = 51.85°, I = 14; 2θ = 60.37°, I = 13; 2θ = 68.21°, I = 12; 2θ = 68.60°, I = 12



For PuAl12Cu6, a cell relaxed with GGA-PBE gives the theoretical powder diffractogram in this record (Cu Ka).
Intensities are scaled so that the largest is 100.

Structural model:
Unit cell a=7.086 b=7.086 c=7.086 alpha=105.04 beta=105.04 gamma=105.04
Fractional coordinates of all 19 atoms:
Pu (0.000, 0.000, 0.000)
Al (0.117, 0.500, 0.883)
Al (0.117, 0.883, 0.500)
Al (0.156, 0.411, 0.411)
Al (0.411, 0.156, 0.411)
Al (0.411, 0.411, 0.156)
Al (0.500, 0.117, 0.883)
Al (0.500, 0.883, 0.117)
Al (0.589, 0.589, 0.844)
Al (0.589, 0.844, 0.589)
Al (0.844, 0.589, 0.589)
Al (0.883, 0.117, 0.500)
Al (0.883, 0.500, 0.117)
Cu (0.268, 0.268, 0.709)
Cu (0.268, 0.709, 0.268)
Cu (0.291, 0.732, 0.732)
Cu (0.709, 0.268, 0.268)
Cu (0.732, 0.291, 0.732)
Cu (0.732, 0.732, 0.291)

Main lines, in order of rising 2θ (5 to 70 degrees two-theta):
2θ = 22.80°, I = 44; 2θ = 26.38°, I = 100; 2θ = 31.83°, I = 62; 2θ = 32.15°, I = 61; 2θ = 34.84°, I = 54; 2θ = 35.43°, I = 52; 2θ = 39.51°, I = 39; 2θ = 45.87°, I = 38; 2θ = 46.57°, I = 49; 2θ = 51.60°, I = 32



For Ca4Tl5Pd6, a cell relaxed with GGA-PBE gives the theoretical powder diffractogram in this record (Cu Ka).
Intensities are scaled so that the largest is 100.

Structural model:
Unit cell a=11.157 b=11.157 c=15.075 alpha=90.00 beta=90.00 gamma=158.13
Fractional coordinates of all 30 atoms:
Ca (0.026, 0.974, 0.500)
Ca (0.065, 0.935, 0.782)
Ca (0.121, 0.879, 0.276)
Ca (0.190, 0.810, 0.953)
Ca (0.810, 0.190, 0.453)
Ca (0.879, 0.121, 0.776)
Ca (0.935, 0.065, 0.282)
Ca (0.974, 0.026, 0.000)
Tl (0.187, 0.813, 0.605)
Tl (0.314, 0.686, 0.281)
Tl (0.327, 0.673, 0.619)
Tl (0.362, 0.638, 0.944)
Tl (0.477, 0.523, 0.662)
Tl (0.523, 0.477, 0.162)
Tl (0.638, 0.362, 0.444)
Tl (0.673, 0.327, 0.119)
Tl (0.686, 0.314, 0.781)
Tl (0.813, 0.187, 0.105)
Pd (0.091, 0.909, 0.082)
Pd (0.219, 0.781, 0.418)
Pd (0.274, 0.726, 0.791)
Pd (0.398, 0.602, 0.131)
Pd (0.415, 0.585, 0.451)
Pd (0.476, 0.524, 0.851)
Pd (0.524, 0.476, 0.351)
Pd (0.585, 0.415, 0.951)
Pd (0.602, 0.398, 0.631)
Pd (0.726, 0.274, 0.291)
Pd (0.781, 0.219, 0.918)
Pd (0.909, 0.091, 0.582)

Main lines, in order of rising 2θ (5 to 70 degrees two-theta):
2θ = 21.38°, I = 73; 2θ = 27.85°, I = 50; 2θ = 31.69°, I = 85; 2θ = 34.44°, I = 100; 2θ = 35.72°, I = 70; 2θ = 36.18°, I = 67; 2θ = 38.71°, I = 49; 2θ = 40.07°, I = 97; 2θ = 42.71°, I = 87; 2θ = 43.26°, I = 50



For PaCrSi2W, a cell relaxed with GGA-PBE gives the theoretical powder diffractogram in this record (Cu Ka).
Intensities are scaled so that the largest is 100.

Structural model:
Unit cell a=3.927 b=3.927 c=10.932 alpha=90.00 beta=90.00 gamma=90.00
Fractional coordinates of all 10 atoms:
Pa (0.000, 0.000, 0.000)
Pa (0.500, 0.500, 0.500)
Cr (0.000, 0.500, 0.250)
Cr (0.500, 0.000, 0.750)
Si (0.000, 0.000, 0.391)
Si (0.000, 0.000, 0.609)
Si (0.500, 0.500, 0.109)
Si (0.500, 0.500, 0.891)
W (0.000, 0.500, 0.750)
W (0.500, 0.000, 0.250)

Main lines, in order of rising 2θ (5 to 70 degrees two-theta):
2θ = 24.08°, I = 60; 2θ = 32.77°, I = 24; 2θ = 33.55°, I = 44; 2θ = 36.29°, I = 100; 2θ = 46.24°, I = 30; 2θ = 47.60°, I = 20; 2θ = 52.79°, I = 16; 2θ = 57.82°, I = 20; 2θ = 58.33°, I = 19; 2θ = 60.81°, I = 19



For Ba3BiCl3O3, a cell relaxed with GGA-PBE gives the theoretical powder diffractogram in this record (Cu Ka).
Intensities are scaled so that the largest is 100.

Structural model:
Unit cell a=7.140 b=12.177 c=12.646 alpha=90.00 beta=90.00 gamma=90.00
Fractional coordinates of all 40 atoms:
Ba (0.151, 0.250, 0.035)
Ba (0.168, 0.067, 0.385)
Ba (0.168, 0.433, 0.385)
Ba (0.332, 0.567, 0.885)
Ba (0.332, 0.933, 0.885)
Ba (0.349, 0.750, 0.535)
Ba (0.651, 0.250, 0.465)
Ba (0.668, 0.067, 0.115)
Ba (0.668, 0.433, 0.115)
Ba (0.832, 0.567, 0.615)
Ba (0.832, 0.933, 0.615)
Ba (0.849, 0.750, 0.965)
Bi (0.098, 0.250, 0.615)
Bi (0.402, 0.750, 0.115)
Bi (0.598, 0.250, 0.885)
Bi (0.902, 0.750, 0.385)
Cl (0.083, 0.750, 0.733)
Cl (0.104, 0.505, 0.139)
Cl (0.104, 0.995, 0.139)
Cl (0.396, 0.005, 0.639)
Cl (0.396, 0.495, 0.639)
Cl (0.417, 0.250, 0.233)
Cl (0.583, 0.750, 0.767)
Cl (0.604, 0.505, 0.361)
Cl (0.604, 0.995, 0.361)
Cl (0.896, 0.005, 0.861)
Cl (0.896, 0.495, 0.861)
Cl (0.917, 0.250, 0.267)
O (0.072, 0.626, 0.454)
O (0.072, 0.874, 0.454)
O (0.213, 0.750, 0.987)
O (0.287, 0.250, 0.487)
O (0.428, 0.126, 0.954)
O (0.428, 0.374, 0.954)
O (0.572, 0.626, 0.046)
O (0.572, 0.874, 0.046)
O (0.713, 0.750, 0.513)
O (0.787, 0.250, 0.013)
O (0.928, 0.126, 0.546)
O (0.928, 0.374, 0.546)

Main lines, in order of rising 2θ (5 to 70 degrees two-theta):
2θ = 14.01°, I = 36; 2θ = 14.25°, I = 42; 2θ = 20.13°, I = 45; 2θ = 23.01°, I = 35; 2θ = 23.81°, I = 100; 2θ = 25.61°, I = 40; 2θ = 26.01°, I = 69; 2θ = 28.98°, I = 84; 2θ = 29.86°, I = 63; 2θ = 46.49°, I = 50



For SrCe3Sb4, a cell relaxed with GGA-PBE gives the theoretical powder diffractogram in this record (Cu Ka).
Intensities are scaled so that the largest is 100.

Structural model:
Unit cell a=4.551 b=6.438 c=9.163 alpha=90.00 beta=90.00 gamma=90.00
Fractional coordinates of all 8 atoms:
Sr (0.000, 0.000, 0.000)
Ce (0.000, 0.000, 0.500)
Ce (0.500, 0.500, 0.248)
Ce (0.500, 0.500, 0.752)
Sb (0.000, 0.500, 0.000)
Sb (0.000, 0.500, 0.500)
Sb (0.500, 0.000, 0.266)
Sb (0.500, 0.000, 0.734)

Main lines, in order of rising 2θ (5 to 70 degrees two-theta):
2θ = 27.65°, I = 100; 2θ = 39.33°, I = 13; 2θ = 39.54°, I = 64; 2θ = 48.79°, I = 13; 2θ = 49.02°, I = 14; 2θ = 57.05°, I = 8; 2θ = 57.23°, I = 4; 2θ = 64.35°, I = 6; 2θ = 64.58°, I = 11; 2θ = 64.72°, I = 18